Diffraction record for GeTeC3. The powder X-ray diffraction pattern is theoretical, not measured: it uses a cell relaxed with GGA-PBE and a wavelength of 1.5418 Å.
Peak positions follow from Bragg's law for the DFT cell and can differ from measured ones.

Crystal structure
abc: 4.045 4.045 4.045
angles: 90.00 90.00 90.00
Space group Pm-3m (No. 221)
Symmetry-distinct sites (fractional):
Ge  0.000  0.000  0.000 [1 per cell]
Te  0.500  0.500  0.500 [1 per cell]
C  0.000  0.000  0.500 [3 per cell]

Top 12 peaks for 10 to 90 degrees two-theta, low angle first:
(1 0 0), d 4.045, rel. 4; (1 1 0), d 2.861, rel. 100; (1 1 1), d 2.336, rel. 7; (2 0 0), d 2.023, rel. 27; (2 1 0), d 1.809, rel. 2; (2 1 1), d 1.652, rel. 39; (2 2 0), d 1.430, rel. 17; (3 0 0), d 1.348, rel. 1; (3 1 0), d 1.279, rel. 17; (3 1 1), d 1.220, rel. 2; (2 2 2), d 1.168, rel. 6; (3 2 0), d 1.122, rel. 1


Diffraction record for Pm8Sc2Pb. The powder X-ray diffraction pattern is theoretical, not measured: it uses a cell relaxed with GGA-PBE and a wavelength of 1.5418 Å.
Peak positions follow from Bragg's law for the DFT cell and can differ from measured ones.

Crystal structure
abc: 18.065 4.954 8.009
angles: 90.00 106.00 90.00
Space group C2/m (No. 12)
Symmetry-distinct sites (fractional):
Pm  0.046  0.000  0.228 [4 per cell]
Pm  0.095  0.500  0.947 [4 per cell]
Pm  0.140  0.000  0.688 [4 per cell]
Pm  0.180  0.500  0.408 [4 per cell]
Sc  0.225  0.000  0.129 [4 per cell]
Pb  0.000  0.500  0.500 [2 per cell]

Top 12 peaks for 10 to 90 degrees two-theta, low angle first:
(2 0 0), d 8.683, rel. 7; (1 1 2), d 2.889, rel. 100; (4 0 -3), d 2.537, rel. 17; (6 0 1), d 2.492, rel. 17; (0 2 0), d 2.477, rel. 17; (2 0 4), d 1.778, rel. 12; (4 2 -3), d 1.772, rel. 12; (6 2 1), d 1.757, rel. 11; (3 1 -5), d 1.524, rel. 14; (7 1 3), d 1.504, rel. 14; (1 3 2), d 1.498, rel. 14; (2 2 4), d 1.444, rel. 12